Computed powder diffraction line list
Compound: Na5Fe3F12
Radiation: Cu Ka
Structure: DFT lattice parameters and positions (PBE+U)
Peak positions follow from Bragg's law for the DFT cell and can differ from measured ones.

Atomic structure:
```
Na5Fe3F12
1.0
9.5928 0.0000 0.0000
-4.7964 8.3076 0.0000
0.0000 0.0000 3.2329
Na Fe F
5 3 12
Direct
0.0000 0.7101 0.0000
0.2899 0.2899 0.0000
0.3333 0.6667 0.0000
0.6667 0.3333 0.0000
0.7101 0.0000 0.0000
0.0000 0.3335 0.5000
0.3335 0.0000 0.5000
0.6665 0.6665 0.5000
0.0000 0.1934 0.0000
0.0000 0.4696 0.0000
0.1934 0.0000 0.0000
0.2062 0.7614 0.5000
0.2386 0.4448 0.5000
0.4448 0.2386 0.5000
0.4696 0.0000 0.0000
0.5304 0.5304 0.0000
0.5552 0.7938 0.5000
0.7614 0.2062 0.5000
0.7938 0.5552 0.5000
0.8066 0.8066 0.0000
```

Main lines, low angle first (2θ from 10° to 90°):
- hkl 1 1 0, 2θ 18.5, intensity 100
- hkl 3 0 0, 2θ 32.3, intensity 38
- hkl 1 1 1, 2θ 33.4, intensity 59
- hkl 3 1 0, 2θ 39.1, intensity 15
- hkl 2 1 1, 2θ 40.0, intensity 43
- hkl 2 2 1, 2θ 47.2, intensity 55
- hkl 0 0 2, 2θ 57.0, intensity 15
- hkl 3 3 0, 2θ 57.7, intensity 16
- hkl 4 1 1, 2θ 58.4, intensity 40
- hkl 3 3 1, 2θ 65.1, intensity 12